For Sm12YSc6, a DFT-relaxed cell (PBE, Alexandria) gives the theoretical powder XRD pattern in this record (a wavelength of 1.5418 Å).
Neutral-atom scattering factors, no anomalous dispersion.

Structural model:
Cell lengths 8.9879, 8.9879, 8.9879 Å; angles 106.77, 106.77, 106.77 degrees
Sites, in units of the cell vectors:
Sm 0.1330 0.8259 0.2799
Sm 0.1741 0.7201 0.8670
Sm 0.1954 0.5716 0.4797
Sm 0.2799 0.1330 0.8259
Sm 0.4284 0.5203 0.8046
Sm 0.4797 0.1954 0.5716
Sm 0.5203 0.8046 0.4284
Sm 0.5716 0.4797 0.1954
Sm 0.7201 0.8670 0.1741
Sm 0.8046 0.4284 0.5203
Sm 0.8259 0.2799 0.1330
Sm 0.8670 0.1741 0.7201
Y 0.0000 0.0000 0.0000
Sc 0.0733 0.1869 0.4613
Sc 0.1869 0.4613 0.0733
Sc 0.4613 0.0733 0.1869
Sc 0.5387 0.9267 0.8131
Sc 0.8131 0.5387 0.9267
Sc 0.9267 0.8131 0.5387

Most intense lines, 2θ = 15–90°, low angle first:
d (Å), 2θ/deg, Rel. int.
4.691, 18.92, 16
4.280, 20.75, 24
3.279, 27.20, 19
3.056, 29.22, 43
2.727, 32.85, 100
2.622, 34.20, 60
2.494, 36.01, 14
2.464, 36.46, 29
1.721, 53.22, 20
1.435, 65.00, 24

---

For ScUTe4, a DFT-relaxed cell (PBE, Alexandria) gives the theoretical powder XRD pattern in this record (a wavelength of 1.5418 Å).
Neutral-atom scattering factors, no anomalous dispersion.

Structural model:
Cell lengths 7.1891, 4.2461, 7.6260 Å; angles 90.00, 107.63, 90.00 degrees
Sites, in units of the cell vectors:
Sc 0.0000 0.0000 0.0000
U 0.5000 0.5000 0.0000
Te 0.2383 0.5000 0.2324
Te 0.2520 0.0000 0.7594
Te 0.7480 0.0000 0.2406
Te 0.7617 0.5000 0.7676

Most intense lines, 2θ = 15–90°, low angle first:
d (Å), 2θ/deg, Rel. int.
3.609, 24.67, 16
3.460, 25.75, 12
3.045, 29.33, 100
2.984, 29.94, 48
2.378, 37.83, 12
2.184, 41.33, 19
2.179, 41.44, 38
2.123, 42.58, 18
2.087, 43.36, 35
1.730, 52.93, 19

---

For PmIn3Hg3, a DFT-relaxed cell (PBE, Alexandria) gives the theoretical powder XRD pattern in this record (a wavelength of 1.5418 Å).
Neutral-atom scattering factors, no anomalous dispersion.

Structural model:
Cell lengths 9.0473, 9.0473, 5.1521 Å; angles 90.00, 90.00, 120.00 degrees
Sites, in units of the cell vectors:
Pm 0.3333 0.6667 0.2500
Pm 0.6667 0.3333 0.7500
In 0.0280 0.7912 0.2500
In 0.2088 0.2368 0.2500
In 0.2368 0.0280 0.7500
In 0.7632 0.9720 0.2500
In 0.7912 0.7632 0.7500
In 0.9720 0.2088 0.7500
Hg 0.0940 0.6169 0.7500
Hg 0.3831 0.4771 0.7500
Hg 0.4771 0.0940 0.2500
Hg 0.5229 0.9060 0.7500
Hg 0.6169 0.5229 0.2500
Hg 0.9060 0.3831 0.2500

Most intense lines, 2θ = 15–90°, low angle first:
d (Å), 2θ/deg, Rel. int.
2.961, 30.18, 25
2.576, 34.83, 23
2.568, 34.95, 100
1.944, 46.74, 15
1.710, 53.60, 19
1.486, 62.52, 19
1.424, 65.56, 36
1.284, 73.81, 4
1.121, 86.86, 7
1.094, 89.63, 13

---

Question: What is the formula in the third record?
Answer: PmIn3Hg3

---

Please write out number 3 again, unchanged.
For PmIn3Hg3, a DFT-relaxed cell (PBE, Alexandria) gives the theoretical powder XRD pattern in this record (a wavelength of 1.5418 Å).
Neutral-atom scattering factors, no anomalous dispersion.

Structural model:
Cell lengths 9.0473, 9.0473, 5.1521 Å; angles 90.00, 90.00, 120.00 degrees
Sites, in units of the cell vectors:
Pm 0.3333 0.6667 0.2500
Pm 0.6667 0.3333 0.7500
In 0.0280 0.7912 0.2500
In 0.2088 0.2368 0.2500
In 0.2368 0.0280 0.7500
In 0.7632 0.9720 0.2500
In 0.7912 0.7632 0.7500
In 0.9720 0.2088 0.7500
Hg 0.0940 0.6169 0.7500
Hg 0.3831 0.4771 0.7500
Hg 0.4771 0.0940 0.2500
Hg 0.5229 0.9060 0.7500
Hg 0.6169 0.5229 0.2500
Hg 0.9060 0.3831 0.2500

Most intense lines, 2θ = 15–90°, low angle first:
d (Å), 2θ/deg, Rel. int.
2.961, 30.18, 25
2.576, 34.83, 23
2.568, 34.95, 100
1.944, 46.74, 15
1.710, 53.60, 19
1.486, 62.52, 19
1.424, 65.56, 36
1.284, 73.81, 4
1.121, 86.86, 7
1.094, 89.63, 13